[1]
Calculated powder XRD pattern of NiPBr for Cu Kα (weighted mean of Kα1 and Kα2), from a cell relaxed with GGA-PBE.
Lines closer than 0.1° are merged.

The 12 most intense peaks (10° ≤ 2θ ≤ 90°), in order of rising 2θ:
d 5.559, 15.9°, intensity 43.9; d 2.974, 30.0°, intensity 9.6; d 2.622, 34.2°, intensity 100.0; d 2.031, 44.6°, intensity 50.0; d 1.717, 53.4°, intensity 28.1; d 1.641, 56.1°, intensity 9.3; d 1.573, 58.7°, intensity 17.0; d 1.437, 64.9°, intensity 14.4; d 1.311, 72.0°, intensity 11.3; d 1.259, 75.5°, intensity 9.3; d 1.160, 83.3°, intensity 6.3; d 1.102, 88.8°, intensity 12.6

Cell: 3.4342 3.4342 5.5593 Å, 90.00 90.00 120.00°
Fractional positions:
1 Ni 0.0000 0.0000 0.0000
2 P 0.3333 0.6667 0.2032
3 Br 0.6667 0.3333 0.7190

=====

[2]
Calculated powder XRD pattern of AcInHg5 for Cu Kα (weighted mean of Kα1 and Kα2), from a cell relaxed with GGA-PBE.
Lines closer than 0.1° are merged.

The 12 most intense peaks (10° ≤ 2θ ≤ 90°), in order of rising 2θ:
d 5.204, 17.0°, intensity 21.8; d 2.840, 31.5°, intensity 100.0; d 2.602, 34.5°, intensity 79.1; d 2.377, 37.8°, intensity 30.8; d 2.336, 38.5°, intensity 58.5; d 1.771, 51.6°, intensity 12.6; d 1.666, 55.1°, intensity 42.0; d 1.464, 63.6°, intensity 27.2; d 1.447, 64.4°, intensity 13.3; d 1.420, 65.8°, intensity 12.3; d 1.363, 68.9°, intensity 21.8; d 1.104, 88.6°, intensity 17.6

Cell: 6.2173 9.5098 7.0828 Å, 90.00 90.00 90.00°
Fractional positions:
1 Ac 0.0000 0.0000 0.0000
2 Ac 0.5000 0.5000 0.0000
3 In 0.0000 0.5000 0.5000
4 In 0.5000 0.0000 0.5000
5 Hg 0.0000 0.0000 0.5000
6 Hg 0.2500 0.2500 0.2557
7 Hg 0.2500 0.2500 0.7443
8 Hg 0.2500 0.7500 0.2557
9 Hg 0.2500 0.7500 0.7443
10 Hg 0.5000 0.5000 0.5000
11 Hg 0.7500 0.2500 0.2557
12 Hg 0.7500 0.2500 0.7443
13 Hg 0.7500 0.7500 0.2557
14 Hg 0.7500 0.7500 0.7443

=====

[3]
Calculated powder XRD pattern of La2PbI2 for Cu Kα (weighted mean of Kα1 and Kα2), from a cell relaxed with GGA-PBE.
Lines closer than 0.1° are merged.

The 12 most intense peaks (10° ≤ 2θ ≤ 90°), in order of rising 2θ:
d 7.192, 12.3°, intensity 23.3; d 5.360, 16.5°, intensity 15.3; d 3.819, 23.3°, intensity 13.1; d 3.354, 26.6°, intensity 52.3; d 3.274, 27.2°, intensity 100.0; d 2.350, 38.3°, intensity 36.5; d 2.335, 38.6°, intensity 39.7; d 2.323, 38.8°, intensity 19.1; d 2.307, 39.0°, intensity 22.4; d 1.909, 47.6°, intensity 29.0; d 1.637, 56.2°, intensity 12.0; d 1.468, 63.4°, intensity 18.2

Cell: 11.3575 9.2937 8.1741 Å, 90.00 91.33 90.00°
Fractional positions:
1 La 0.0030 0.1234 0.2368
2 La 0.0030 0.3766 0.7368
3 La 0.3247 0.1396 0.5996
4 La 0.3247 0.3604 0.0996
5 La 0.6753 0.6396 0.9004
6 La 0.6753 0.8604 0.4004
7 La 0.9970 0.6234 0.2632
8 La 0.9970 0.8766 0.7632
9 Pb 0.1631 0.1290 0.9140
10 Pb 0.1631 0.3710 0.4140
11 Pb 0.8369 0.6290 0.5860
12 Pb 0.8369 0.8710 0.0860
13 I 0.1687 0.6232 0.9288
14 I 0.1687 0.8768 0.4288
15 I 0.4929 0.6438 0.2116
16 I 0.4929 0.8562 0.7116
17 I 0.5071 0.1438 0.2884
18 I 0.5071 0.3562 0.7884
19 I 0.8313 0.1232 0.5712
20 I 0.8313 0.3768 0.0712

=====

[4]
Calculated powder XRD pattern of LaTm2TcO8 for Cu Kα (weighted mean of Kα1 and Kα2), from a cell relaxed with GGA-PBE.
Lines closer than 0.1° are merged.

The 12 most intense peaks (10° ≤ 2θ ≤ 90°), in order of rising 2θ:
d 3.569, 24.9°, intensity 55.0; d 3.538, 25.2°, intensity 55.3; d 2.837, 31.5°, intensity 100.0; d 2.513, 35.7°, intensity 28.0; d 1.886, 48.3°, intensity 37.9; d 1.876, 48.5°, intensity 38.2; d 1.784, 51.2°, intensity 9.6; d 1.593, 57.9°, intensity 9.6; d 1.585, 58.2°, intensity 9.1; d 1.546, 59.8°, intensity 10.8; d 1.506, 61.6°, intensity 21.5; d 1.418, 65.8°, intensity 11.5

Cell: 5.0233 6.8739 5.0276 Å, 90.00 90.50 90.00°
Fractional positions:
1 La 0.0000 0.0000 0.0000
2 Tm 0.5000 0.2493 0.5000
3 Tm 0.5000 0.7507 0.5000
4 Tc 0.0000 0.5000 0.0000
5 O 0.1881 0.3010 0.1866
6 O 0.1881 0.6990 0.1866
7 O 0.2683 0.5000 0.7303
8 O 0.3174 0.0000 0.6806
9 O 0.6826 0.0000 0.3194
10 O 0.7317 0.5000 0.2697
11 O 0.8119 0.3010 0.8134
12 O 0.8119 0.6990 0.8134

=====

[5]
Calculated powder XRD pattern of TmAlBIr2 for Cu Kα (weighted mean of Kα1 and Kα2), from a cell relaxed with GGA-PBE.
Lines closer than 0.1° are merged.

The 12 most intense peaks (10° ≤ 2θ ≤ 90°), in order of rising 2θ:
d 3.317, 26.9°, intensity 32.2; d 3.058, 29.2°, intensity 36.7; d 2.730, 32.8°, intensity 100.0; d 2.640, 34.0°, intensity 37.0; d 2.602, 34.5°, intensity 84.1; d 2.555, 35.1°, intensity 22.5; d 2.227, 40.5°, intensity 41.0; d 2.182, 41.4°, intensity 18.9; d 2.031, 44.6°, intensity 28.7; d 1.974, 46.0°, intensity 32.3; d 1.526, 60.7°, intensity 33.2; d 1.477, 62.9°, intensity 22.7

Cell: 6.0019 6.0019 7.2652 Å, 90.00 90.00 141.60°
Fractional positions:
1 Tm 0.0514 0.9486 0.7500
2 Tm 0.9486 0.0514 0.2500
3 Al 0.2293 0.7707 0.2500
4 Al 0.7707 0.2293 0.7500
5 B 0.5000 0.5000 0.0000
6 B 0.5000 0.5000 0.5000
7 Ir 0.3345 0.6655 0.5576
8 Ir 0.3345 0.6655 0.9424
9 Ir 0.6655 0.3345 0.0576
10 Ir 0.6655 0.3345 0.4424

=====

[6]
Calculated powder XRD pattern of CuRuI for Cu Kα (weighted mean of Kα1 and Kα2), from a cell relaxed with GGA-PBE.
Lines closer than 0.1° are merged.

The 12 most intense peaks (10° ≤ 2θ ≤ 90°), in order of rising 2θ:
d 5.311, 16.7°, intensity 22.8; d 3.357, 26.5°, intensity 33.5; d 3.201, 27.9°, intensity 44.4; d 2.841, 31.5°, intensity 100.0; d 2.832, 31.6°, intensity 50.2; d 2.088, 43.3°, intensity 37.6; d 2.083, 43.4°, intensity 37.4; d 2.078, 43.6°, intensity 37.4; d 1.938, 46.9°, intensity 86.5; d 1.602, 57.5°, intensity 16.5; d 1.233, 77.4°, intensity 12.4; d 1.119, 87.1°, intensity 14.2

Cell: 3.8768 3.8768 10.6226 Å, 89.66 89.78 60.00°
Fractional positions:
1 Cu 0.0000 0.0000 0.0000
2 Cu 0.3334 0.3349 0.9063
3 Ru 0.6656 0.6644 0.1351
4 Ru 0.9985 0.9962 0.2326
5 I 0.9996 0.0036 0.7557
6 I 0.3313 0.3273 0.3912

=====

[7]
Calculated powder XRD pattern of Ca2Al3Pt4 for Cu Kα (weighted mean of Kα1 and Kα2), from a cell relaxed with GGA-PBE.
Lines closer than 0.1° are merged.

The 12 most intense peaks (10° ≤ 2θ ≤ 90°), in order of rising 2θ:
d 5.344, 16.6°, intensity 33.2; d 3.395, 26.3°, intensity 100.0; d 3.359, 26.5°, intensity 49.7; d 2.677, 33.5°, intensity 28.9; d 2.535, 35.4°, intensity 48.2; d 2.520, 35.6°, intensity 38.3; d 2.370, 38.0°, intensity 28.3; d 2.271, 39.7°, intensity 74.1; d 2.105, 43.0°, intensity 31.0; d 1.901, 47.8°, intensity 21.6; d 1.686, 54.4°, intensity 20.2; d 1.462, 63.7°, intensity 22.5

Cell: 8.1553 8.1553 7.4806 Å, 90.00 90.00 138.97°
Fractional positions:
1 Ca 0.1042 0.8958 0.9090
2 Ca 0.3958 0.6042 0.4090
3 Ca 0.6042 0.3958 0.5910
4 Ca 0.8958 0.1042 0.0910
5 Al 0.0000 0.0000 0.5000
6 Al 0.0202 0.4798 0.7500
7 Al 0.4798 0.0202 0.2500
8 Al 0.5000 0.5000 0.0000
9 Al 0.5202 0.9798 0.7500
10 Al 0.9798 0.5202 0.2500
11 Pt 0.1826 0.8174 0.5255
12 Pt 0.1864 0.3136 0.7500
13 Pt 0.3136 0.1864 0.2500
14 Pt 0.3174 0.6826 0.0255
15 Pt 0.6826 0.3174 0.9745
16 Pt 0.6864 0.8136 0.7500
17 Pt 0.8136 0.6864 0.2500
18 Pt 0.8174 0.1826 0.4745

=====

[8]
Calculated powder XRD pattern of Pm2SmHoTl4 for Cu Kα (weighted mean of Kα1 and Kα2), from a cell relaxed with GGA-PBE.
Lines closer than 0.1° are merged.

The 12 most intense peaks (10° ≤ 2θ ≤ 90°), in order of rising 2θ:
d 3.853, 23.1°, intensity 2.1; d 2.724, 32.9°, intensity 100.0; d 2.224, 40.6°, intensity 0.7; d 1.926, 47.2°, intensity 18.5; d 1.723, 53.2°, intensity 1.0; d 1.573, 58.7°, intensity 29.0; d 1.572, 58.7°, intensity 9.7; d 1.363, 68.9°, intensity 6.0; d 1.361, 69.0°, intensity 6.0; d 1.218, 78.5°, intensity 16.8; d 1.114, 87.6°, intensity 1.1; d 1.112, 87.8°, intensity 3.3

Cell: 9.4482 9.4482 9.4482 Å, 33.49 33.49 33.49°
Fractional positions:
1 Pm 0.2494 0.2494 0.2494
2 Pm 0.7506 0.7506 0.7506
3 Sm 0.0000 0.0000 0.0000
4 Ho 0.5000 0.5000 0.5000
5 Tl 0.1258 0.1258 0.1258
6 Tl 0.3759 0.3759 0.3759
7 Tl 0.6241 0.6241 0.6241
8 Tl 0.8742 0.8742 0.8742

=====

[9]
Calculated powder XRD pattern of Dy5Y4Ho3 for Cu Kα (weighted mean of Kα1 and Kα2), from a cell relaxed with GGA-PBE.
Lines closer than 0.1° are merged.

The 12 most intense peaks (10° ≤ 2θ ≤ 90°), in order of rising 2θ:
d 2.896, 30.9°, intensity 100.0; d 2.508, 35.8°, intensity 50.6; d 1.774, 51.5°, intensity 29.7; d 1.771, 51.6°, intensity 5.9; d 1.513, 61.3°, intensity 17.6; d 1.512, 61.3°, intensity 24.6; d 1.447, 64.4°, intensity 9.1; d 1.254, 75.9°, intensity 3.8; d 1.152, 84.0°, intensity 7.3; d 1.150, 84.2°, intensity 7.3; d 1.122, 86.8°, intensity 6.8; d 1.121, 86.9°, intensity 8.1

Cell: 6.1419 7.0994 8.6807 Å, 89.98 89.93 89.90°
Fractional positions:
1 Dy 0.0000 0.0000 0.0000
2 Dy 0.3337 0.4995 0.6668
3 Dy 0.4988 0.7493 0.0005
4 Dy 0.5012 0.2507 0.9995
5 Dy 0.6663 0.5005 0.3332
6 Y 0.1660 0.2512 0.3333
7 Y 0.3329 0.0002 0.6673
8 Y 0.6671 0.9998 0.3327
9 Y 0.8340 0.7488 0.6667
10 Ho 0.0000 0.5000 0.0000
11 Ho 0.1673 0.7492 0.3326
12 Ho 0.8327 0.2508 0.6674

=====

Please write out number 7 again, unchanged.
Calculated powder XRD pattern of Ca2Al3Pt4 for Cu Kα (weighted mean of Kα1 and Kα2), from a cell relaxed with GGA-PBE.
Lines closer than 0.1° are merged.

The 12 most intense peaks (10° ≤ 2θ ≤ 90°), in order of rising 2θ:
d 5.344, 16.6°, intensity 33.2; d 3.395, 26.3°, intensity 100.0; d 3.359, 26.5°, intensity 49.7; d 2.677, 33.5°, intensity 28.9; d 2.535, 35.4°, intensity 48.2; d 2.520, 35.6°, intensity 38.3; d 2.370, 38.0°, intensity 28.3; d 2.271, 39.7°, intensity 74.1; d 2.105, 43.0°, intensity 31.0; d 1.901, 47.8°, intensity 21.6; d 1.686, 54.4°, intensity 20.2; d 1.462, 63.7°, intensity 22.5

Cell: 8.1553 8.1553 7.4806 Å, 90.00 90.00 138.97°
Fractional positions:
1 Ca 0.1042 0.8958 0.9090
2 Ca 0.3958 0.6042 0.4090
3 Ca 0.6042 0.3958 0.5910
4 Ca 0.8958 0.1042 0.0910
5 Al 0.0000 0.0000 0.5000
6 Al 0.0202 0.4798 0.7500
7 Al 0.4798 0.0202 0.2500
8 Al 0.5000 0.5000 0.0000
9 Al 0.5202 0.9798 0.7500
10 Al 0.9798 0.5202 0.2500
11 Pt 0.1826 0.8174 0.5255
12 Pt 0.1864 0.3136 0.7500
13 Pt 0.3136 0.1864 0.2500
14 Pt 0.3174 0.6826 0.0255
15 Pt 0.6826 0.3174 0.9745
16 Pt 0.6864 0.8136 0.7500
17 Pt 0.8136 0.6864 0.2500
18 Pt 0.8174 0.1826 0.4745